Entry 1:
# PmGdMg2
Theoretical powder diffraction line list, Cu Ka. Input: a crystal structure in the Materials Project, relaxed with GGA-PBE.
Intensities are scaled so that the largest is 100.

The 6 most intense peaks (2θ from 15° to 90°), most intense first:
- 2θ = 32.8°, 2.733 Å, rel. 100
- 2θ = 23.0°, 3.866 Å, rel. 61
- 2θ = 58.5°, 1.578 Å, rel. 38
- 2θ = 53.0°, 1.729 Å, rel. 26
- 2θ = 40.4°, 2.232 Å, rel. 19
- 2θ = 47.0°, 1.933 Å, rel. 18

Atomic structure:
abc: 7.7310 7.7310 7.7310
angles: 90.00 90.00 90.00
Sites, in units of the cell vectors:
Pm (0.0000, 0.0000, 0.0000)
Pm (0.0000, 0.5000, 0.5000)
Pm (0.5000, 0.0000, 0.5000)
Pm (0.5000, 0.5000, 0.0000)
Gd (0.0000, 0.0000, 0.5000)
Gd (0.0000, 0.5000, 0.0000)
Gd (0.5000, 0.0000, 0.0000)
Gd (0.5000, 0.5000, 0.5000)
Mg (0.2500, 0.2500, 0.2500)
Mg (0.2500, 0.2500, 0.7500)
Mg (0.2500, 0.7500, 0.2500)
Mg (0.2500, 0.7500, 0.7500)
Mg (0.7500, 0.2500, 0.2500)
Mg (0.7500, 0.2500, 0.7500)
Mg (0.7500, 0.7500, 0.2500)
Mg (0.7500, 0.7500, 0.7500)

=====

Entry 2:
# RbPO3
Theoretical powder diffraction line list, Cu Ka. Input: a crystal structure in the Materials Project, relaxed with GGA-PBE.
Intensities are scaled so that the largest is 100.

The 6 most intense peaks (2θ from 15° to 90°), most intense first:
- 2θ = 28.0°, 3.189 Å, rel. 100
- 2θ = 25.3°, 3.525 Å, rel. 86
- 2θ = 26.8°, 3.329 Å, rel. 75
- 2θ = 27.1°, 3.296 Å, rel. 73
- 2θ = 29.4°, 3.038 Å, rel. 67
- 2θ = 36.2°, 2.481 Å, rel. 41

Atomic structure:
abc: 6.6254 4.3183 13.4016
angles: 90.00 113.76 90.00
Sites, in units of the cell vectors:
Rb (0.1862, 0.1342, 0.4075)
Rb (0.1862, 0.3658, 0.9075)
Rb (0.8138, 0.6342, 0.0925)
Rb (0.8138, 0.8658, 0.5925)
P (0.3613, 0.5101, 0.6792)
P (0.3613, 0.9899, 0.1792)
P (0.6387, 0.0101, 0.8208)
P (0.6387, 0.4899, 0.3208)
O (0.1525, 0.1312, 0.1771)
O (0.1525, 0.3688, 0.6771)
O (0.3662, 0.6550, 0.5785)
O (0.3662, 0.8450, 0.0785)
O (0.4379, 0.7424, 0.2802)
O (0.4379, 0.7576, 0.7802)
O (0.5621, 0.2424, 0.2198)
O (0.5621, 0.2576, 0.7198)
O (0.6338, 0.1550, 0.9215)
O (0.6338, 0.3450, 0.4215)
O (0.8475, 0.6312, 0.3229)
O (0.8475, 0.8688, 0.8229)

=====

Entry 3:
# Cs3TbCl6
Theoretical powder diffraction line list, Cu Ka. Input: a crystal structure in the Materials Project, relaxed with GGA-PBE.
Intensities are scaled so that the largest is 100.

The 6 most intense peaks (2θ from 15° to 90°), most intense first:
- 2θ = 21.1°, 4.202 Å, rel. 100
- 2θ = 30.1°, 2.971 Å, rel. 51
- 2θ = 37.1°, 2.426 Å, rel. 45
- 2θ = 43.1°, 2.101 Å, rel. 35
- 2θ = 58.1°, 1.588 Å, rel. 28
- 2θ = 48.4°, 1.879 Å, rel. 25

Atomic structure:
abc: 8.4033 8.4033 8.4033
angles: 60.00 60.00 60.00
Sites, in units of the cell vectors:
Cs (0.0000, 0.0000, 0.0000)
Cs (0.2500, 0.2500, 0.2500)
Cs (0.7500, 0.7500, 0.7500)
Tb (0.5000, 0.5000, 0.5000)
Cl (0.2767, 0.2767, 0.7233)
Cl (0.2767, 0.7233, 0.2767)
Cl (0.2767, 0.7233, 0.7233)
Cl (0.7233, 0.2767, 0.2767)
Cl (0.7233, 0.2767, 0.7233)
Cl (0.7233, 0.7233, 0.2767)

=====

Entry 4:
# K2InSbF6
Theoretical powder diffraction line list, Cu Ka. Input: a crystal structure in the Materials Project, relaxed with GGA-PBE.
Intensities are scaled so that the largest is 100.

The 6 most intense peaks (2θ from 15° to 90°), most intense first:
- 2θ = 26.3°, 3.382 Å, rel. 100
- 2θ = 18.5°, 4.783 Å, rel. 56
- 2θ = 37.6°, 2.392 Å, rel. 45
- 2θ = 46.5°, 1.953 Å, rel. 40
- 2θ = 54.2°, 1.691 Å, rel. 28
- 2θ = 42.2°, 2.139 Å, rel. 26

Atomic structure:
abc: 6.7647 6.7647 6.7647
angles: 60.00 60.00 60.00
Sites, in units of the cell vectors:
K (0.2500, 0.2500, 0.2500)
K (0.7500, 0.7500, 0.7500)
In (0.0000, 0.0000, 0.0000)
Sb (0.5000, 0.5000, 0.5000)
F (0.2696, 0.2696, 0.7304)
F (0.2696, 0.7304, 0.2696)
F (0.2696, 0.7304, 0.7304)
F (0.7304, 0.2696, 0.2696)
F (0.7304, 0.2696, 0.7304)
F (0.7304, 0.7304, 0.2696)

=====

Entry 5:
# Ce4Ga2S5O4
Theoretical powder diffraction line list, Cu Ka. Input: a crystal structure in the Materials Project, relaxed with GGA-PBE.
Intensities are scaled so that the largest is 100.

The 6 most intense peaks (2θ from 15° to 90°), most intense first:
- 2θ = 26.9°, 3.317 Å, rel. 100
- 2θ = 27.1°, 3.295 Å, rel. 88
- 2θ = 33.2°, 2.698 Å, rel. 80
- 2θ = 33.4°, 2.686 Å, rel. 79
- 2θ = 32.4°, 2.761 Å, rel. 64
- 2θ = 28.9°, 3.092 Å, rel. 47

Atomic structure:
abc: 3.8932 7.8622 9.6731
angles: 101.53 101.60 90.21
Sites, in units of the cell vectors:
Ce (0.0000, 0.0000, 0.0000)
Ce (0.0024, 0.4958, 0.0109)
Ce (0.3598, 0.6735, 0.7275)
Ce (0.3640, 0.1865, 0.7288)
Ga (0.0238, 0.2423, 0.3666)
Ga (0.6842, 0.7339, 0.3670)
S (0.1778, 0.5683, 0.3642)
S (0.5671, 0.2704, 0.1435)
S (0.5706, 0.7976, 0.1457)
S (0.7895, 0.9081, 0.5873)
S (0.7913, 0.3878, 0.5916)
O (0.4292, 0.9597, 0.8612)
O (0.4356, 0.4653, 0.8741)
O (0.9311, 0.7113, 0.8663)
O (0.9329, 0.2130, 0.8665)

=====

Entry 6:
# BaSmEuSbO6
Theoretical powder diffraction line list, Cu Ka. Input: a crystal structure in the Materials Project, relaxed with GGA-PBE.
Intensities are scaled so that the largest is 100.

The 6 most intense peaks (2θ from 15° to 90°), most intense first:
- 2θ = 29.7°, 3.011 Å, rel. 100
- 2θ = 52.7°, 1.738 Å, rel. 43
- 2θ = 42.5°, 2.129 Å, rel. 27
- 2θ = 85.3°, 1.138 Å, rel. 18
- 2θ = 61.6°, 1.506 Å, rel. 16
- 2θ = 69.8°, 1.347 Å, rel. 12

Atomic structure:
abc: 8.5079 8.5192 8.5222
angles: 90.00 90.00 90.00
Sites, in units of the cell vectors:
Ba (0.0000, 0.0000, 0.0000)
Ba (0.0000, 0.0000, 0.5000)
Ba (0.5000, 0.0000, 0.0000)
Ba (0.5000, 0.5000, 0.5000)
Sm (0.2506, 0.2528, 0.2506)
Sm (0.2506, 0.7472, 0.7494)
Sm (0.7494, 0.2528, 0.7494)
Sm (0.7494, 0.7472, 0.2506)
Eu (0.0000, 0.5000, 0.0000)
Eu (0.0000, 0.5000, 0.5000)
Eu (0.5000, 0.0000, 0.5000)
Eu (0.5000, 0.5000, 0.0000)
Sb (0.2500, 0.2534, 0.7490)
Sb (0.2500, 0.7466, 0.2510)
Sb (0.7500, 0.2534, 0.2510)
Sb (0.7500, 0.7466, 0.7490)
O (0.0159, 0.2273, 0.7237)
O (0.0159, 0.7727, 0.2763)
O (0.2161, 0.4838, 0.7102)
O (0.2161, 0.5162, 0.2898)
O (0.2167, 0.2854, 0.9828)
O (0.2167, 0.7146, 0.0172)
O (0.2730, 0.0180, 0.7756)
O (0.2730, 0.9820, 0.2244)
O (0.2895, 0.2193, 0.5175)
O (0.2895, 0.7807, 0.4825)
O (0.4818, 0.2890, 0.7851)
O (0.4818, 0.7110, 0.2149)
O (0.5182, 0.2890, 0.2149)
O (0.5182, 0.7110, 0.7851)
O (0.7105, 0.2193, 0.4825)
O (0.7105, 0.7807, 0.5175)
O (0.7270, 0.0180, 0.2244)
O (0.7270, 0.9820, 0.7756)
O (0.7833, 0.2854, 0.0172)
O (0.7833, 0.7146, 0.9828)
O (0.7839, 0.4838, 0.2898)
O (0.7839, 0.5162, 0.7102)
O (0.9841, 0.2273, 0.2763)
O (0.9841, 0.7727, 0.7237)

=====

Entry 7:
# HoZrSb
Theoretical powder diffraction line list, Cu Ka. Input: a crystal structure in the Materials Project, relaxed with GGA-PBE.
Intensities are scaled so that the largest is 100.

The 6 most intense peaks (2θ from 15° to 90°), most intense first:
- 2θ = 36.8°, 2.441 Å, rel. 100
- 2θ = 31.5°, 2.837 Å, rel. 98
- 2θ = 42.3°, 2.135 Å, rel. 73
- 2θ = 34.2°, 2.620 Å, rel. 60
- 2θ = 54.3°, 1.691 Å, rel. 55
- 2θ = 29.6°, 3.019 Å, rel. 49

Atomic structure:
abc: 4.2696 4.2696 16.5912
angles: 90.00 90.00 90.00
Sites, in units of the cell vectors:
Ho (0.0000, 0.0000, 0.1765)
Ho (0.0000, 0.0000, 0.8235)
Ho (0.5000, 0.5000, 0.3235)
Ho (0.5000, 0.5000, 0.6765)
Zr (0.0000, 0.5000, 0.0000)
Zr (0.0000, 0.5000, 0.5000)
Zr (0.5000, 0.0000, 0.0000)
Zr (0.5000, 0.0000, 0.5000)
Sb (0.0000, 0.0000, 0.3660)
Sb (0.0000, 0.0000, 0.6340)
Sb (0.5000, 0.5000, 0.1340)
Sb (0.5000, 0.5000, 0.8660)

=====

Entry 8:
# Ru2SeS3
Theoretical powder diffraction line list, Cu Ka. Input: a crystal structure in the Materials Project, relaxed with GGA-PBE.
Intensities are scaled so that the largest is 100.

The 6 most intense peaks (2θ from 15° to 90°), most intense first:
- 2θ = 31.1°, 2.874 Å, rel. 100
- 2θ = 53.0°, 1.726 Å, rel. 43
- 2θ = 44.6°, 2.032 Å, rel. 40
- 2θ = 27.0°, 3.303 Å, rel. 40
- 2θ = 52.6°, 1.740 Å, rel. 33
- 2θ = 34.9°, 2.570 Å, rel. 32

Atomic structure:
abc: 5.7467 5.7485 5.7497
angles: 90.00 90.79 90.00
Sites, in units of the cell vectors:
Ru (0.9999, 0.0000, 0.2403)
Ru (0.0001, 0.5000, 0.7597)
Ru (0.4924, 0.0081, 0.7519)
Ru (0.5076, 0.5081, 0.2481)
Se (0.1173, 0.3886, 0.3669)
Se (0.8827, 0.8886, 0.6331)
S (0.1173, 0.1221, 0.8694)
S (0.3861, 0.6192, 0.8645)
S (0.3867, 0.8915, 0.3610)
S (0.6133, 0.3915, 0.6390)
S (0.6139, 0.1192, 0.1355)
S (0.8827, 0.6221, 0.1306)